Structure and calculated powder diffractogram of Ho3Er7In (the PBE geometry in Alexandria; Cu Kα (weighted mean of Kα1 and Kα2)).
Intensities are scaled so that the largest is 100.

Peak list (8 most intense, 15° ≤ 2θ ≤ 90°, low angle first)
two_theta	Rel. int.	(hkl)
18.21	6.0	1 0 1
31.81	100.0	0 2 1
36.90	50.8	2 0 2
53.17	35.2	2 2 0
63.31	41.7	4 0 1
66.45	9.1	0 4 2
78.53	5.6	4 0 4
87.18	13.4	2 4 1

Structure:
Cell: 6.8941 6.8941 8.4289 Å, 90.00 90.00 120.00°
Space group P3m1 (No. 156)
One atom of each set of equivalent atoms:
1 Ho 0.1675 0.3349 0.0000 (multiplicity 3)
2 Er 0.0060 0.5030 0.6627 (multiplicity 3)
3 Er 0.3307 0.1653 0.3395 (multiplicity 3)
4 Er 0.3333 0.6667 0.3281 (multiplicity 1)
5 In 0.0000 0.0000 0.6644 (multiplicity 1)